Starting from a cell relaxed with PBE, the powder X-ray diffraction pattern of MoC4 was computed for Cu Kα.

Main lines, low angle first (2θ = 15–90°):
(hkl), Position (°2θ), I_rel
0 0 2, 27.87, 36.5
1 0 0, 38.00, 31.0
0 1 1, 40.63, 100.0
1 0 2, 47.78, 51.3
1 0 3, 58.20, 32.5
1 1 0, 68.66, 14.5
1 1 1, 70.44, 11.6
1 0 4, 71.10, 12.5
1 1 2, 75.65, 12.2
2 0 1, 82.94, 11.7

Structure:
```
data_MoC4
_cell_length_a 2.7339
_cell_length_b 2.7339
_cell_length_c 6.4017
_cell_angle_alpha 90.00
_cell_angle_beta 90.00
_cell_angle_gamma 120.00
_symmetry_space_group_name_H-M 'P -3 m 1'
_symmetry_Int_Tables_number 164
_symmetry_space_group_name_Hall '-P 3 2"'
loop_
_atom_site_label
_atom_site_fract_x
_atom_site_fract_y
_atom_site_fract_z
Mo1 0.0000 0.0000 0.0000
C1 0.3333 0.6667 0.2291
C2 0.3333 0.6667 0.4568
```